Diffraction record for Rb2GaTe4Pb. The X-ray diffraction stick pattern is calculated, not measured: it uses a crystal structure in Alexandria, relaxed with PBE and Cu Kα (λ = 1.5418 Å).

Crystal structure
abc: 9.0040 9.0040 7.5109
angles: 90.00 90.00 90.00
Positions (direct):
Rb 0.0000 0.5000 0.0000
Rb 0.0000 0.5000 0.5000
Rb 0.5000 0.0000 0.0000
Rb 0.5000 0.0000 0.5000
Ga 0.0000 0.0000 0.0000
Ga 0.5000 0.5000 0.5000
Te 0.1703 0.1703 0.7849
Te 0.1703 0.8297 0.2151
Te 0.3297 0.3297 0.2849
Te 0.3297 0.6703 0.7151
Te 0.6703 0.3297 0.7151
Te 0.6703 0.6703 0.2849
Te 0.8297 0.1703 0.2151
Te 0.8297 0.8297 0.7849
Pb 0.0000 0.0000 0.5000
Pb 0.5000 0.5000 0.0000

Largest 10 diffraction maxima, in order of rising 2θ, 2θ from 10° to 90°:
2θ 13.91, d = 6.367 Å, intensity 292, (1 1 0)
2θ 25.09, d = 3.549 Å, intensity 1000, (2 1 1)
2θ 28.03, d = 3.183 Å, intensity 438, (2 2 0)
2θ 31.01, d = 2.884 Å, intensity 916, (2 0 2)
2θ 39.73, d = 2.269 Å, intensity 202, (3 1 2)
2θ 42.56, d = 2.124 Å, intensity 282, (3 3 0)
2θ 43.14, d = 2.097 Å, intensity 264, (4 1 1)
2θ 45.03, d = 2.013 Å, intensity 215, (4 2 0)
2θ 47.07, d = 1.931 Å, intensity 244, (4 0 2)
2θ 70.78, d = 1.331 Å, intensity 168, (6 2 2)